1.
# SmFe12
Computed powder X-ray diffraction pattern, Cu Kα (λ = 1.5418 Å). Input: a DFT-relaxed cell (GGA-PBE, the Materials Project).
Peak positions follow from Bragg's law for the DFT cell and can differ from measured ones.

Peak list (10 most intense, 2θ from 10° to 80°, sorted by position)
Position (°2θ)	I (rel.)
22.74	10.6
30.27	18.1
40.04	41.2
41.61	40.8
41.71	100.0
42.58	12.1
55.20	10.4
59.12	26.4
73.86	20.6
76.00	15.3

Crystal structure
```
SmFe12
1.0
-4.5041 4.5041 2.1705
4.5041 -4.5041 2.1705
4.5041 4.5041 -2.1705
Sm Fe
1 12
Direct
0.0000 0.0000 0.0000
0.0000 0.3655 0.3655
0.0000 0.6345 0.6345
0.2251 0.2251 0.4502
0.2251 0.7749 0.0000
0.2614 0.5000 0.7614
0.3655 0.0000 0.3655
0.5000 0.2614 0.7614
0.5000 0.7386 0.2386
0.6345 0.0000 0.6345
0.7386 0.5000 0.2386
0.7749 0.2251 0.0000
0.7749 0.7749 0.5498
```


2.
# Sm2Fe17
Computed powder X-ray diffraction pattern, Cu Kα (λ = 1.5418 Å). Input: a DFT-relaxed cell (GGA-PBE, the Materials Project).
Peak positions follow from Bragg's law for the DFT cell and can differ from measured ones.

Peak list (10 most intense, 2θ from 10° to 80°, sorted by position)
Position (°2θ)	I (rel.)
30.05	38.8
36.50	41.1
37.81	27.0
42.40	62.6
42.71	100.0
43.61	49.2
47.98	20.3
62.45	26.8
77.55	16.5
79.50	17.3

Crystal structure
```
Sm2Fe17
1.0
4.2641 2.4619 4.1483
-4.2641 2.4619 4.1483
0.0000 -4.9237 4.1483
Sm Fe
2 17
Direct
0.1588 0.1588 0.1588
0.8412 0.8412 0.8412
0.0000 0.5000 0.5000
0.1572 0.1572 0.6546
0.1572 0.6546 0.1572
0.2087 0.5000 0.7913
0.2087 0.7913 0.5000
0.3454 0.8428 0.8428
0.4035 0.4035 0.4035
0.5000 0.0000 0.5000
0.5000 0.2087 0.7913
0.5000 0.5000 0.0000
0.5000 0.7913 0.2087
0.5965 0.5965 0.5965
0.6546 0.1572 0.1572
0.7913 0.2087 0.5000
0.7913 0.5000 0.2087
0.8428 0.3454 0.8428
0.8428 0.8428 0.3454
```


3.
# Sm4FeSn8
Computed powder X-ray diffraction pattern, Cu Kα (λ = 1.5418 Å). Input: a DFT-relaxed cell (GGA-PBE, the Materials Project).
Peak positions follow from Bragg's law for the DFT cell and can differ from measured ones.

Peak list (10 most intense, 2θ from 10° to 80°, sorted by position)
Position (°2θ)	I (rel.)
32.24	17.7
32.44	100.0
38.16	8.8
39.81	18.1
40.37	17.4
52.12	9.4
52.57	9.2
57.99	12.2
67.65	12.5
68.42	12.1

Crystal structure
```
Sm4FeSn8
1.0
4.4686 0.0000 0.0000
0.0000 4.5282 0.0000
0.0000 0.0000 16.6611
Sm Fe Sn
4 1 8
Direct
0.0000 0.0000 0.0000
0.0000 0.5000 0.4956
0.5000 0.0000 0.7945
0.5000 0.5000 0.2975
0.0000 0.5000 0.7028
0.0000 0.0000 0.3354
0.0000 0.0000 0.6374
0.0000 0.5000 0.1470
0.0000 0.5000 0.8505
0.5000 0.0000 0.1496
0.5000 0.0000 0.4603
0.5000 0.5000 0.6374
0.5000 0.5000 0.9687
```


4.
# SmTiFe11
Computed powder X-ray diffraction pattern, Cu Kα (λ = 1.5418 Å). Input: a DFT-relaxed cell (GGA-PBE, the Materials Project).
Peak positions follow from Bragg's law for the DFT cell and can differ from measured ones.

Peak list (10 most intense, 2θ from 10° to 80°, sorted by position)
Position (°2θ)	I (rel.)
30.11	57.2
36.77	32.3
36.98	29.9
42.14	44.1
42.47	46.9
42.65	77.3
42.76	65.7
43.89	100.0
49.03	38.1
72.15	27.7

Crystal structure
```
SmTiFe11
1.0
-2.3559 4.2890 4.2569
2.3559 -4.2890 4.2569
2.3559 4.2890 -4.2569
Sm Ti Fe
1 1 11
Direct
0.0000 0.0000 0.0000
0.3728 0.3728 0.0000
0.0028 0.0030 0.4978
0.0028 0.5050 0.9997
0.2304 0.7304 0.5000
0.2309 0.5056 0.7252
0.3607 0.0040 0.3567
0.5052 0.0030 0.0003
0.5052 0.5050 0.5022
0.6473 0.0040 0.6433
0.6504 0.6504 0.0000
0.7740 0.2740 0.5000
0.7804 0.5056 0.2748
```


5.
# Sm6TlFe13
Computed powder X-ray diffraction pattern, Cu Kα (λ = 1.5418 Å). Input: a DFT-relaxed cell (GGA-PBE, the Materials Project).
Peak positions follow from Bragg's law for the DFT cell and can differ from measured ones.

Peak list (10 most intense, 2θ from 10° to 80°, sorted by position)
Position (°2θ)	I (rel.)
27.45	70.7
27.95	34.7
31.58	100.0
32.20	44.7
34.77	37.6
35.46	95.0
38.34	64.2
43.27	43.7
46.97	40.0
58.35	31.6

Crystal structure
```
Sm6TlFe13
1.0
-4.0029 4.0029 11.5934
4.0029 -4.0029 11.5934
4.0029 4.0029 -11.5934
Sm Tl Fe
12 2 26
Direct
0.0212 0.5212 0.1737
0.1042 0.1042 0.0000
0.1525 0.9788 0.5000
0.3475 0.8475 0.8263
0.3958 0.3958 0.0000
0.4788 0.6525 0.5000
0.5212 0.3475 0.5000
0.6042 0.6042 0.0000
0.6525 0.1525 0.1737
0.8475 0.0212 0.5000
0.8958 0.8958 0.0000
0.9788 0.4788 0.8263
0.2500 0.2500 0.0000
0.7500 0.7500 0.0000
0.0000 0.5000 0.5000
0.0186 0.2917 0.5000
0.0663 0.2101 0.2764
0.1199 0.6199 0.8581
0.2083 0.4814 0.5000
0.2101 0.9337 0.1437
0.2382 0.7382 0.8581
0.2618 0.1199 0.5000
0.2899 0.4337 0.7236
0.2917 0.7917 0.2731
0.3801 0.2382 0.5000
0.4337 0.7101 0.1437
0.4814 0.9814 0.2731
0.5000 0.0000 0.5000
0.5186 0.0186 0.7269
0.5663 0.2899 0.8563
0.6199 0.7618 0.5000
0.7083 0.2083 0.7269
0.7101 0.5663 0.2764
0.7382 0.8801 0.5000
0.7618 0.2618 0.1419
0.7899 0.0663 0.8563
0.7917 0.5186 0.5000
0.8801 0.3801 0.1419
0.9337 0.7899 0.7236
0.9814 0.7083 0.5000
```


6.
# Sm2VFe16
Computed powder X-ray diffraction pattern, Cu Kα (λ = 1.5418 Å). Input: a DFT-relaxed cell (GGA-PBE, the Materials Project).
Peak positions follow from Bragg's law for the DFT cell and can differ from measured ones.

Peak list (10 most intense, 2θ from 10° to 80°, sorted by position)
Position (°2θ)	I (rel.)
30.09	38.6
36.62	39.1
37.84	22.8
42.54	56.9
42.81	100.0
43.61	46.3
48.10	19.0
61.92	23.5
62.56	25.5
70.19	18.2

Crystal structure
```
Sm2VFe16
1.0
4.2501 2.4538 4.1519
-4.2501 2.4538 4.1519
0.0000 -4.9076 4.1519
Sm V Fe
2 1 16
Direct
0.0000 0.0000 0.0000
0.3138 0.3138 0.3138
0.7459 0.7459 0.7459
0.1545 0.6560 0.6560
0.3153 0.3153 0.8107
0.3153 0.8107 0.3153
0.3593 0.6544 0.9496
0.3593 0.9496 0.6544
0.4988 0.9951 0.9951
0.5611 0.5611 0.5611
0.6544 0.3593 0.9496
0.6544 0.9496 0.3593
0.6560 0.1545 0.6560
0.6560 0.6560 0.1545
0.8107 0.3153 0.3153
0.9496 0.3593 0.6544
0.9496 0.6544 0.3593
0.9951 0.4988 0.9951
0.9951 0.9951 0.4988
```


7.
# SmV2Fe10
Computed powder X-ray diffraction pattern, Cu Kα (λ = 1.5418 Å). Input: a DFT-relaxed cell (GGA-PBE, the Materials Project).
Peak positions follow from Bragg's law for the DFT cell and can differ from measured ones.

Peak list (10 most intense, 2θ from 10° to 80°, sorted by position)
Position (°2θ)	I (rel.)
30.26	63.3
36.94	28.8
37.14	29.0
42.30	50.2
42.62	43.0
42.84	65.8
42.94	74.8
44.16	100.0
49.32	37.8
72.63	27.0

Crystal structure
```
SmV2Fe10
1.0
-2.3403 4.2426 4.2737
2.3403 -4.2426 4.2737
2.3403 4.2426 -4.2737
Sm V Fe
1 2 10
Direct
0.0000 0.0000 0.0000
0.3594 0.3594 0.0000
0.6405 0.6405 0.0000
0.0000 0.0000 0.5000
0.0000 0.5000 0.0000
0.2282 0.5000 0.7282
0.2312 0.7312 0.5000
0.3600 0.0000 0.3600
0.5000 0.0000 0.0000
0.5000 0.5000 0.5000
0.6400 0.0000 0.6400
0.7688 0.2688 0.5000
0.7718 0.5000 0.2718
```


8.
# SmYFe4
Computed powder X-ray diffraction pattern, Cu Kα (λ = 1.5418 Å). Input: a DFT-relaxed cell (GGA-PBE, the Materials Project).
Peak positions follow from Bragg's law for the DFT cell and can differ from measured ones.

Peak list (10 most intense, 2θ from 10° to 80°, sorted by position)
Position (°2θ)	I (rel.)
20.84	9.1
24.11	3.9
34.35	54.1
40.52	100.0
42.41	20.3
54.14	2.5
61.53	19.7
65.71	30.1
72.40	22.1
76.30	2.1

Crystal structure
```
SmYFe4
1.0
0.0000 3.6918 3.6918
3.6918 0.0000 3.6918
3.6918 3.6918 0.0000
Sm Y Fe
1 1 4
Direct
0.0000 0.0000 0.0000
0.2500 0.2500 0.2500
0.1250 0.6250 0.6250
0.6250 0.1250 0.6250
0.6250 0.6250 0.1250
0.6250 0.6250 0.6250
```


9.
# SmYFe6
Computed powder X-ray diffraction pattern, Cu Kα (λ = 1.5418 Å). Input: a DFT-relaxed cell (GGA-PBE, the Materials Project).
Peak positions follow from Bragg's law for the DFT cell and can differ from measured ones.

Peak list (10 most intense, 2θ from 10° to 80°, sorted by position)
Position (°2θ)	I (rel.)
32.40	41.9
34.81	48.1
35.41	29.7
40.59	36.4
41.36	100.0
43.11	13.9
44.57	19.8
45.31	17.7
66.88	22.3
73.49	22.0

Crystal structure
```
SmYFe6
1.0
2.5772 1.4879 16.4224
-2.5772 1.4879 16.4224
0.0000 -2.9758 16.4224
Sm Y Fe
3 3 18
Direct
0.0000 0.0000 0.0000
0.1421 0.1421 0.1421
0.6420 0.6420 0.6420
0.0711 0.0711 0.0711
0.5001 0.5001 0.5001
0.5708 0.5708 0.5708
0.0307 0.0307 0.5309
0.0307 0.5309 0.0307
0.0326 0.5303 0.5303
0.1102 0.6119 0.6119
0.1117 0.1117 0.6095
0.1117 0.6095 0.1117
0.2372 0.2372 0.2372
0.3210 0.3210 0.3210
0.4049 0.4049 0.4049
0.5303 0.0326 0.5303
0.5303 0.5303 0.0326
0.5309 0.0307 0.0307
0.6095 0.1117 0.1117
0.6119 0.1102 0.6119
0.6119 0.6119 0.1102
0.7374 0.7374 0.7374
0.8212 0.8212 0.8212
0.9046 0.9046 0.9046
```


10.
# Sm4ZrFe33
Computed powder X-ray diffraction pattern, Cu Kα (λ = 1.5418 Å). Input: a DFT-relaxed cell (GGA-PBE, the Materials Project).
Peak positions follow from Bragg's law for the DFT cell and can differ from measured ones.

Peak list (10 most intense, 2θ from 10° to 80°, sorted by position)
Position (°2θ)	I (rel.)
29.89	47.6
36.09	29.5
36.28	62.1
37.55	56.3
41.99	86.2
42.21	73.2
42.39	100.0
42.49	67.9
43.34	86.7
77.02	28.7

Crystal structure
```
Sm4ZrFe33
1.0
4.8503 -4.2814 0.0000
4.8503 4.2814 0.0000
-2.0969 0.0000 12.8504
Sm Zr Fe
4 1 33
Direct
0.0000 0.0000 0.0000
0.9996 0.9996 0.4927
0.3094 0.3094 0.8467
0.3170 0.3170 0.3372
0.5647 0.5647 0.7159
0.0004 0.0004 0.2458
0.0014 0.5042 0.9998
0.1465 0.6622 0.6654
0.1588 0.6592 0.1682
0.3118 0.8230 0.8421
0.3142 0.3142 0.5838
0.3165 0.8133 0.3372
0.3174 0.3174 0.0910
0.3515 0.9670 0.6669
0.3608 0.6612 0.5189
0.3657 0.9514 0.1677
0.3685 0.6603 0.0238
0.5042 0.0014 0.9998
0.5039 0.9975 0.4952
0.5625 0.5625 0.2168
0.6558 0.6558 0.4158
0.6558 0.9484 0.3115
0.6577 0.9606 0.8172
0.6592 0.1588 0.1682
0.6603 0.3685 0.0238
0.6612 0.3608 0.5189
0.6622 0.1465 0.6654
0.6639 0.6639 0.9235
0.7555 0.7555 0.1214
0.7607 0.7607 0.6108
0.8133 0.3165 0.3372
0.8230 0.3118 0.8421
0.9484 0.6558 0.3115
0.9514 0.3657 0.1677
0.9606 0.6577 0.8172
0.9670 0.3515 0.6669
0.9975 0.5039 0.4952
0.9984 0.9984 0.7467
```


11.
# FeSn
Computed powder X-ray diffraction pattern, Cu Kα (λ = 1.5418 Å). Input: a DFT-relaxed cell (GGA-PBE, the Materials Project).
Peak positions follow from Bragg's law for the DFT cell and can differ from measured ones.

Peak list (10 most intense, 2θ from 10° to 80°, sorted by position)
Position (°2θ)	I (rel.)
27.87	66.3
33.79	56.5
39.52	25.8
40.41	36.4
44.35	100.0
53.67	32.0
56.90	20.0
71.08	20.5
75.25	12.7
76.24	19.8

Crystal structure
```
FeSn
1.0
5.3048 0.0000 0.0000
-2.6524 4.5941 0.0000
0.0000 0.0000 4.4641
Fe Sn
3 3
Direct
0.0000 0.5000 0.0000
0.5000 0.0000 0.0000
0.5000 0.5000 0.0000
0.0000 0.0000 0.0000
0.3333 0.6667 0.5000
0.6667 0.3333 0.5000
```